Entry 1:
Theoretical powder XRD pattern of V2Pt7Rh3 for Cu Kα (weighted mean of Kα1 and Kα2), from a PBE-relaxed structure.
Peak positions follow from Bragg's law for the DFT cell and can differ from measured ones.

Cell and atoms:
Cell: 2.7432 4.3443 16.4928 Å, 90.00 94.80 90.00°
Positions (direct):
V  0.1426  0.0000  0.2832
V  0.8574  0.0000  0.7168
Pt  0.1000  0.5000  0.1982
Pt  0.2147  0.0000  0.4294
Pt  0.4292  0.0000  0.8599
Pt  0.5000  0.5000  0.0000
Pt  0.5708  0.0000  0.1401
Pt  0.7853  0.0000  0.5706
Pt  0.9000  0.5000  0.8018
Rh  0.0000  0.0000  0.0000
Rh  0.3275  0.5000  0.6566
Rh  0.6725  0.5000  0.3434

Top 6 peaks for 10 to 90 degrees two-theta, low angle first:
- 2θ 27.1, I 18
- 2θ 41.2, I 28
- 2θ 41.3, I 100
- 2θ 41.6, I 41
- 2θ 43.8, I 35
- 2θ 59.9, I 19



Entry 2:
Theoretical powder XRD pattern of ZrTaIr4 for Cu Kα (weighted mean of Kα1 and Kα2), from a PBE-relaxed structure.
Peak positions follow from Bragg's law for the DFT cell and can differ from measured ones.

Cell and atoms:
Cell: 5.2075 5.2075 5.2075 Å, 60.00 60.00 60.00°
Positions (direct):
Zr  0.0000  0.0000  0.0000
Ta  0.2500  0.2500  0.2500
Ir  0.1252  0.6249  0.6249
Ir  0.6249  0.1252  0.6249
Ir  0.6249  0.6249  0.1252
Ir  0.6249  0.6249  0.6249

Top 6 peaks for 10 to 90 degrees two-theta, low angle first:
- 2θ 20.9, I 21
- 2θ 40.6, I 100
- 2θ 42.5, I 52
- 2θ 65.9, I 32
- 2θ 72.6, I 29
- 2θ 88.0, I 21



Entry 3:
Theoretical powder XRD pattern of Li4Hg3Au3 for Cu Kα (weighted mean of Kα1 and Kα2), from a PBE-relaxed structure.
Peak positions follow from Bragg's law for the DFT cell and can differ from measured ones.

Cell and atoms:
Cell: 8.0572 8.0572 8.0572 Å, 109.47 109.47 109.47°
Positions (direct):
Li  0.0000  0.2914  0.5000
Li  0.0000  0.7914  0.5000
Li  0.2086  0.2086  0.2086
Li  0.2914  0.5000  0.0000
Li  0.5000  0.0000  0.2914
Li  0.5000  0.0000  0.7914
Li  0.7086  0.7086  0.7086
Li  0.7914  0.5000  0.0000
Hg  0.1250  0.7500  0.8750
Hg  0.2500  0.6250  0.3750
Hg  0.3750  0.2500  0.6250
Hg  0.6250  0.3750  0.2500
Hg  0.7500  0.8750  0.1250
Hg  0.8750  0.1250  0.7500
Au  0.1250  0.8750  0.2500
Au  0.2500  0.1250  0.8750
Au  0.3750  0.6250  0.7500
Au  0.6250  0.7500  0.3750
Au  0.7500  0.3750  0.6250
Au  0.8750  0.2500  0.1250

Top 6 peaks for 10 to 90 degrees two-theta, low angle first:
- 2θ 23.4, I 100
- 2θ 27.1, I 37
- 2θ 36.1, I 75
- 2θ 43.5, I 85
- 2θ 54.0, I 24
- 2θ 61.4, I 22



Entry 4:
Theoretical powder XRD pattern of MgFe10B3 for Cu Kα (weighted mean of Kα1 and Kα2), from a PBE-relaxed structure.
Peak positions follow from Bragg's law for the DFT cell and can differ from measured ones.

Cell and atoms:
Cell: 7.5467 7.5467 7.5467 Å, 60.00 60.00 60.00°
Positions (direct):
Mg  0.2500  0.2500  0.2500
Mg  0.7500  0.7500  0.7500
Fe  0.0000  0.0000  0.3370
Fe  0.0000  0.0000  0.6630
Fe  0.0000  0.3370  0.0000
Fe  0.0000  0.3370  0.6630
Fe  0.0000  0.6630  0.0000
Fe  0.0000  0.6630  0.3370
Fe  0.1582  0.6139  0.6139
Fe  0.3370  0.0000  0.0000
Fe  0.3370  0.0000  0.6630
Fe  0.3370  0.6630  0.0000
Fe  0.3861  0.3861  0.3861
Fe  0.3861  0.3861  0.8418
Fe  0.3861  0.8418  0.3861
Fe  0.6139  0.1582  0.6139
Fe  0.6139  0.6139  0.1582
Fe  0.6139  0.6139  0.6139
Fe  0.6630  0.0000  0.0000
Fe  0.6630  0.0000  0.3370
Fe  0.6630  0.3370  0.0000
Fe  0.8418  0.3861  0.3861
B  0.2726  0.2726  0.7274
B  0.2726  0.7274  0.2726
B  0.2726  0.7274  0.7274
B  0.7274  0.2726  0.2726
B  0.7274  0.2726  0.7274
B  0.7274  0.7274  0.2726

Top 6 peaks for 10 to 90 degrees two-theta, low angle first:
- 2θ 33.6, I 16
- 2θ 37.7, I 32
- 2θ 44.1, I 100
- 2θ 50.6, I 44
- 2θ 51.4, I 15
- 2θ 75.6, I 18